This entry pairs a crystal structure of BaAc4TmO8 with its theoretical X-ray powder pattern. Radiation: Cu Kα (λ = 1.5418 Å). Structure: the PBE geometry in Alexandria.

Cell and atoms:
abc: 7.4846 7.4846 17.9703
angles: 90.00 90.00 120.00
Space group R3m (No. 160, hexagonal axes)
Inequivalent atoms, fractional coordinates:
Ba1 0.0000 0.0000 0.0000 [3 per cell]
Ac1 0.0000 0.0000 0.6150 [3 per cell]
Ac2 0.1699 0.3398 0.8284 [9 per cell]
Tm1 0.0000 0.0000 0.3762 [3 per cell]
O1 0.0000 0.0000 0.2534 [3 per cell]
O2 0.0000 0.0000 0.7545 [3 per cell]
O3 0.1752 0.3505 0.5706 [9 per cell]
O4 0.1797 0.3593 0.0871 [9 per cell]

The 10 most intense peaks (5 to 70 degrees two-theta), low angle first:
24.10 deg, rel. 45, hkl 1 0 4; 27.97 deg, rel. 91, hkl 0 2 1; 28.12 deg, rel. 100, hkl 1 1 3; 28.40 deg, rel. 59, hkl 0 1 5; 29.29 deg, rel. 58, hkl 2 0 2; 34.11 deg, rel. 24, hkl 0 2 4; 44.58 deg, rel. 29, hkl 3 0 3; 44.77 deg, rel. 35, hkl 1 2 5; 48.66 deg, rel. 52, hkl 2 2 0; 49.36 deg, rel. 48, hkl 2 0 8